# 1
Dy2InAg: simulated X-ray powder pattern (copper Kα), based on the PBE geometry in the Materials Project.
Peak positions follow from Bragg's law for the DFT cell and can differ from measured ones.

Principal peaks in the range 10° ≤ 2θ ≤ 80°, by intensity:
2theta, I_rel
34.10, 100.0
61.04, 36.4
49.00, 17.8
71.81, 11.2
23.93, 3.2
55.24, 1.6

Cell and atoms:
Cell: 5.2584 5.2584 5.2584 Å, 60.00 60.00 60.00°
Fractional coordinates of all 4 atoms:
Dy: 0.2500 0.2500 0.2500
Dy: 0.7500 0.7500 0.7500
In: 0.0000 0.0000 0.0000
Ag: 0.5000 0.5000 0.5000

---

# 2
Dy2InAg: simulated X-ray powder pattern (copper Kα), based on the PBE geometry in the Materials Project.
Peak positions follow from Bragg's law for the DFT cell and can differ from measured ones.

Principal peaks in the range 10° ≤ 2θ ≤ 80°, by intensity:
2theta, I_rel
34.09, 100.0
34.22, 50.4
61.19, 36.1
49.18, 17.9
60.93, 17.3
71.78, 10.6

Cell and atoms:
Cell: 3.7054 3.7054 7.4684 Å, 90.00 90.00 90.00°
Fractional coordinates of all 4 atoms:
Dy: 0.0000 0.0000 0.2360
Dy: 0.0000 0.0000 0.7640
In: 0.5000 0.5000 0.5000
Ag: 0.5000 0.5000 0.0000